Structure and simulated powder diffractogram of BaHoTm4Se8 (the PBE geometry in Alexandria; Cu Kα, 1.54184 Å).

Top 10 peaks for 10 to 80 degrees two-theta, low angle first:
| 2θ (°) | I_rel |
| --- | --- |
| 12.7 | 22 |
| 20.8 | 28 |
| 24.5 | 100 |
| 29.6 | 54 |
| 38.7 | 16 |
| 38.8 | 44 |
| 42.3 | 51 |
| 42.5 | 51 |
| 61.5 | 15 |
| 77.6 | 22 |

Crystal structure
Lattice parameters (Å, degrees): 8.542 8.542 8.542 59.79 59.79 59.79
Fractional positions:
Ba 0.000 0.000 0.000
Ho 0.628 0.628 0.628
Tm 0.121 0.627 0.627
Tm 0.251 0.251 0.251
Tm 0.627 0.121 0.627
Tm 0.627 0.627 0.121
Se 0.382 0.382 0.855
Se 0.382 0.855 0.382
Se 0.383 0.383 0.383
Se 0.429 0.860 0.860
Se 0.855 0.382 0.382
Se 0.858 0.858 0.858
Se 0.860 0.429 0.860
Se 0.860 0.860 0.429